1.
The following is a computed X-ray diffraction stick pattern of H12PdI8N4. It was derived from the GGA-PBE geometry in Alexandria, using λ = 1.5418 Å (Cu Kα).

Cell and atoms:
```
H12PdI8N4
1.0
9.318 0.000 0.000
0.000 8.790 0.000
-4.002 0.000 14.007
H Pd I N
24 2 16 8
direct
0.043 0.031 0.293
0.043 0.469 0.293
0.068 0.005 0.815
0.068 0.495 0.815
0.069 0.119 0.199
0.069 0.381 0.199
0.249 0.009 0.697
0.249 0.491 0.697
0.363 0.536 0.802
0.363 0.964 0.802
0.381 0.618 0.704
0.381 0.882 0.704
0.619 0.118 0.296
0.619 0.382 0.296
0.637 0.036 0.198
0.637 0.464 0.198
0.751 0.509 0.303
0.751 0.991 0.303
0.931 0.619 0.801
0.931 0.881 0.801
0.932 0.505 0.185
0.932 0.995 0.185
0.957 0.531 0.707
0.957 0.969 0.707
0.158 0.750 0.754
0.842 0.250 0.246
0.140 0.250 0.581
0.144 0.750 0.081
0.182 0.750 0.413
0.200 0.250 0.915
0.305 0.250 0.153
0.390 0.250 0.359
0.456 0.750 0.085
0.492 0.250 0.587
0.508 0.750 0.413
0.544 0.250 0.915
0.610 0.750 0.641
0.695 0.750 0.847
0.800 0.750 0.085
0.818 0.250 0.587
0.856 0.250 0.919
0.860 0.750 0.419
0.012 0.580 0.771
0.012 0.920 0.771
0.304 0.580 0.737
0.304 0.920 0.737
0.696 0.080 0.263
0.696 0.420 0.263
0.988 0.080 0.229
0.988 0.420 0.229
```

The 6 most intense peaks (2θ from 10° to 90°), most intense first:
| two_theta | d/Å | intensity |
| --- | --- | --- |
| 21.6 | 4.123 | 100.0 |
| 20.2 | 4.395 | 99.8 |
| 30.6 | 2.923 | 38.0 |
| 41.4 | 2.180 | 28.3 |
| 43.9 | 2.062 | 22.2 |
| 36.2 | 2.482 | 22.2 |

***

2.
The following is a computed X-ray diffraction stick pattern of Tb4AlCu2. It was derived from the GGA-PBE geometry in Alexandria, using λ = 1.5418 Å (Cu Kα).

Cell and atoms:
```
Tb4AlCu2
1.0
2.464 1.423 8.451
-2.464 1.423 8.451
0.000 -2.845 8.451
Tb Al Cu
4 1 2
direct
0.121 0.121 0.121
0.292 0.292 0.292
0.708 0.708 0.708
0.879 0.879 0.879
0.500 0.500 0.500
0.405 0.405 0.405
0.595 0.595 0.595
```

The 6 most intense peaks (2θ from 10° to 90°), most intense first:
| two_theta | d/Å | intensity |
| --- | --- | --- |
| 36.5 | 2.464 | 100.0 |
| 27.3 | 3.265 | 65.7 |
| 32.4 | 2.761 | 60.2 |
| 41.4 | 2.180 | 28.6 |
| 25.2 | 3.540 | 22.3 |
| 57.5 | 1.604 | 22.0 |

***

3.
The following is a computed X-ray diffraction stick pattern of Tb5AgHg2. It was derived from the GGA-PBE geometry in Alexandria, using λ = 1.5418 Å (Cu Kα).

Cell and atoms:
```
Tb5AgHg2
1.0
-3.970 3.970 7.063
3.970 -3.970 7.063
3.970 3.970 -7.063
Tb Ag Hg
10 2 4
direct
0.000 0.000 0.000
0.006 0.506 0.819
0.187 0.006 0.500
0.313 0.813 0.819
0.494 0.313 0.500
0.500 0.500 0.000
0.506 0.687 0.500
0.687 0.187 0.181
0.813 0.994 0.500
0.994 0.494 0.181
0.250 0.250 0.000
0.750 0.750 0.000
0.135 0.365 0.500
0.365 0.865 0.230
0.635 0.135 0.770
0.865 0.635 0.500
```

The 6 most intense peaks (2θ from 10° to 90°), most intense first:
| two_theta | d/Å | intensity |
| --- | --- | --- |
| 31.6 | 2.835 | 100.0 |
| 35.8 | 2.511 | 41.9 |
| 66.4 | 1.407 | 16.0 |
| 38.2 | 2.354 | 12.7 |
| 34.0 | 2.639 | 12.5 |
| 53.3 | 1.717 | 12.5 |

***

4.
The following is a computed X-ray diffraction stick pattern of CsDyHgI6. It was derived from the GGA-PBE geometry in Alexandria, using λ = 1.5418 Å (Cu Kα).

Cell and atoms:
```
CsDyHgI6
1.0
3.882 -7.331 0.000
3.882 7.331 0.000
-1.058 0.000 8.311
Cs Dy Hg I
1 1 1 6
direct
0.000 0.000 0.000
0.665 0.335 0.500
0.364 0.636 0.500
0.010 0.409 0.301
0.351 0.322 0.679
0.438 0.026 0.225
0.591 0.990 0.699
0.678 0.649 0.321
0.974 0.562 0.775
```

The 6 most intense peaks (2θ from 10° to 90°), most intense first:
| two_theta | d/Å | intensity |
| --- | --- | --- |
| 23.4 | 3.800 | 100.0 |
| 10.6 | 8.311 | 81.2 |
| 29.5 | 3.033 | 79.3 |
| 17.7 | 5.004 | 75.7 |
| 33.7 | 2.660 | 71.3 |
| 34.6 | 2.595 | 56.4 |

***

5.
The following is a computed X-ray diffraction stick pattern of Hf3Fe8Re. It was derived from the GGA-PBE geometry in Alexandria, using λ = 1.5418 Å (Cu Kα).

Cell and atoms:
```
Hf3Fe8Re
1.0
2.438 1.408 7.983
-2.438 1.408 7.983
0.000 -2.816 7.983
Hf Fe Re
3 8 1
direct
0.000 0.000 0.000
0.128 0.128 0.128
0.509 0.509 0.509
0.065 0.566 0.566
0.068 0.068 0.565
0.068 0.565 0.068
0.316 0.316 0.316
0.565 0.068 0.068
0.566 0.065 0.566
0.566 0.566 0.065
0.817 0.817 0.817
0.631 0.631 0.631
```

The 6 most intense peaks (2θ from 10° to 90°), most intense first:
| two_theta | d/Å | intensity |
| --- | --- | --- |
| 43.5 | 2.081 | 100.0 |
| 36.8 | 2.440 | 74.1 |
| 22.3 | 3.985 | 23.6 |
| 71.0 | 1.328 | 22.3 |
| 66.4 | 1.408 | 20.1 |
| 78.4 | 1.219 | 10.9 |

***

6.
The following is a computed X-ray diffraction stick pattern of Pm2Cu2PdPt5. It was derived from the GGA-PBE geometry in Alexandria, using λ = 1.5418 Å (Cu Kα).

Cell and atoms:
```
Pm2Cu2PdPt5
1.0
9.342 0.000 0.000
0.000 9.342 0.000
0.000 0.000 4.022
Pm Cu Pd Pt
4 4 2 10
direct
0.182 0.318 0.000
0.318 0.818 0.000
0.682 0.182 0.000
0.818 0.682 0.000
0.117 0.617 0.000
0.383 0.117 0.000
0.617 0.883 0.000
0.883 0.383 0.000
0.000 0.000 0.000
0.500 0.500 0.000
0.000 0.500 0.500
0.063 0.793 0.500
0.207 0.063 0.500
0.293 0.563 0.500
0.437 0.293 0.500
0.500 0.000 0.500
0.563 0.707 0.500
0.707 0.437 0.500
0.793 0.937 0.500
0.937 0.207 0.500
```

The 6 most intense peaks (2θ from 10° to 90°), most intense first:
| two_theta | d/Å | intensity |
| --- | --- | --- |
| 37.8 | 2.381 | 100.0 |
| 39.8 | 2.266 | 55.1 |
| 41.5 | 2.178 | 47.6 |
| 45.1 | 2.011 | 35.4 |
| 35.2 | 2.553 | 32.0 |
| 30.9 | 2.898 | 31.4 |

***

7.
The following is a computed X-ray diffraction stick pattern of Li2Cu4S3. It was derived from the GGA-PBE geometry in Alexandria, using λ = 1.5418 Å (Cu Kα).

Cell and atoms:
```
Li2Cu4S3
1.0
7.997 0.000 0.000
0.000 10.750 0.000
0.000 0.000 6.220
Li Cu S
8 16 12
direct
0.000 0.000 0.000
0.000 0.500 0.000
0.013 0.250 0.332
0.487 0.750 0.832
0.500 0.000 0.500
0.500 0.500 0.500
0.513 0.250 0.168
0.987 0.750 0.668
0.141 0.078 0.605
0.141 0.422 0.605
0.154 0.750 0.995
0.199 0.250 0.970
0.301 0.750 0.470
0.346 0.250 0.495
0.359 0.578 0.105
0.359 0.922 0.105
0.641 0.078 0.895
0.641 0.422 0.895
0.654 0.750 0.505
0.699 0.250 0.530
0.801 0.750 0.030
0.846 0.250 0.005
0.859 0.578 0.395
0.859 0.922 0.395
0.004 0.750 0.290
0.246 0.595 0.752
0.246 0.905 0.752
0.254 0.095 0.252
0.254 0.405 0.252
0.496 0.250 0.790
0.504 0.750 0.210
0.746 0.595 0.748
0.746 0.905 0.748
0.754 0.095 0.248
0.754 0.405 0.248
0.996 0.250 0.710
```

The 6 most intense peaks (2θ from 10° to 90°), most intense first:
| two_theta | d/Å | intensity |
| --- | --- | --- |
| 40.4 | 2.231 | 100.0 |
| 24.6 | 3.625 | 47.7 |
| 50.9 | 1.793 | 44.1 |
| 30.9 | 2.895 | 43.7 |
| 22.2 | 3.998 | 38.9 |
| 33.6 | 2.668 | 37.6 |

***

8.
The following is a computed X-ray diffraction stick pattern of Cd5Ni. It was derived from the GGA-PBE geometry in Alexandria, using λ = 1.5418 Å (Cu Kα).

Cell and atoms:
```
Cd5Ni
1.0
6.252 -1.503 0.000
6.252 1.503 0.000
-3.597 0.000 6.585
Cd Ni
5 1
direct
0.000 0.000 0.000
0.012 0.012 0.412
0.267 0.267 0.139
0.364 0.364 0.595
0.710 0.710 0.759
0.663 0.663 0.326
```

The 6 most intense peaks (2θ from 10° to 90°), most intense first:
| two_theta | d/Å | intensity |
| --- | --- | --- |
| 38.7 | 2.325 | 100.0 |
| 38.0 | 2.367 | 33.1 |
| 28.6 | 3.118 | 19.6 |
| 36.9 | 2.435 | 18.2 |
| 38.3 | 2.349 | 16.3 |
| 30.8 | 2.899 | 16.2 |

***

9.
The following is a computed X-ray diffraction stick pattern of Cs6YSe4. It was derived from the GGA-PBE geometry in Alexandria, using λ = 1.5418 Å (Cu Kα).

Cell and atoms:
```
Cs6YSe4
1.0
11.696 0.000 0.000
-5.848 10.129 0.000
0.000 0.000 8.805
Cs Y Se
12 2 8
direct
0.066 0.533 0.000
0.133 0.267 0.312
0.133 0.867 0.312
0.267 0.133 0.812
0.467 0.533 0.000
0.467 0.934 0.000
0.533 0.066 0.500
0.533 0.467 0.500
0.733 0.867 0.312
0.867 0.133 0.812
0.867 0.733 0.812
0.934 0.467 0.500
0.333 0.667 0.598
0.667 0.333 0.098
0.205 0.411 0.702
0.205 0.795 0.702
0.333 0.667 0.286
0.411 0.205 0.202
0.589 0.795 0.702
0.667 0.333 0.786
0.795 0.205 0.202
0.795 0.589 0.202
```

The 6 most intense peaks (2θ from 10° to 90°), most intense first:
| two_theta | d/Å | intensity |
| --- | --- | --- |
| 25.4 | 3.511 | 100.0 |
| 26.8 | 3.323 | 83.3 |
| 28.3 | 3.153 | 59.3 |
| 30.6 | 2.924 | 48.9 |
| 22.0 | 4.038 | 31.1 |
| 46.0 | 1.974 | 27.3 |

***

Repeat the first record exactly.
The following is a computed X-ray diffraction stick pattern of H12PdI8N4. It was derived from the GGA-PBE geometry in Alexandria, using λ = 1.5418 Å (Cu Kα).

Cell and atoms:
```
H12PdI8N4
1.0
9.318 0.000 0.000
0.000 8.790 0.000
-4.002 0.000 14.007
H Pd I N
24 2 16 8
direct
0.043 0.031 0.293
0.043 0.469 0.293
0.068 0.005 0.815
0.068 0.495 0.815
0.069 0.119 0.199
0.069 0.381 0.199
0.249 0.009 0.697
0.249 0.491 0.697
0.363 0.536 0.802
0.363 0.964 0.802
0.381 0.618 0.704
0.381 0.882 0.704
0.619 0.118 0.296
0.619 0.382 0.296
0.637 0.036 0.198
0.637 0.464 0.198
0.751 0.509 0.303
0.751 0.991 0.303
0.931 0.619 0.801
0.931 0.881 0.801
0.932 0.505 0.185
0.932 0.995 0.185
0.957 0.531 0.707
0.957 0.969 0.707
0.158 0.750 0.754
0.842 0.250 0.246
0.140 0.250 0.581
0.144 0.750 0.081
0.182 0.750 0.413
0.200 0.250 0.915
0.305 0.250 0.153
0.390 0.250 0.359
0.456 0.750 0.085
0.492 0.250 0.587
0.508 0.750 0.413
0.544 0.250 0.915
0.610 0.750 0.641
0.695 0.750 0.847
0.800 0.750 0.085
0.818 0.250 0.587
0.856 0.250 0.919
0.860 0.750 0.419
0.012 0.580 0.771
0.012 0.920 0.771
0.304 0.580 0.737
0.304 0.920 0.737
0.696 0.080 0.263
0.696 0.420 0.263
0.988 0.080 0.229
0.988 0.420 0.229
```

The 6 most intense peaks (2θ from 10° to 90°), most intense first:
| two_theta | d/Å | intensity |
| --- | --- | --- |
| 21.6 | 4.123 | 100.0 |
| 20.2 | 4.395 | 99.8 |
| 30.6 | 2.923 | 38.0 |
| 41.4 | 2.180 | 28.3 |
| 43.9 | 2.062 | 22.2 |
| 36.2 | 2.482 | 22.2 |